The following is a theoretical powder diffraction line list of BeTeAu2. It was derived from a structure optimized by DFT (PBE), using Cu Kα.
Neutral-atom scattering factors, no anomalous dispersion.

Main lines, in order of rising 2θ (10 to 80 degrees two-theta):
d 3.329, I = 34; d 3.158, I = 48; d 2.671, I = 100; d 2.424, I = 74; d 2.000, I = 16; d 1.958, I = 61; d 1.926, I = 18; d 1.579, I = 21; d 1.523, I = 18; d 1.374, I = 25

Crystal structure
```
BeTeAu2
1.0
3.392 -1.958 0.000
3.392 1.958 0.000
-2.275 0.000 5.778
Be Te Au
1 1 2
Cartesian
0.000 0.000 0.000
2.254 0.000 2.889
-0.012 0.000 4.822
4.521 0.000 0.956
```